No. 1
The following is a calculated powder diffraction line list of Nd2Y4In. It was derived from a cell relaxed with PBE, using Cu Kα, 1.54184 Å.
No peak broadening, texture or thermal motion is included.

Most intense lines, 2θ from 10° to 90°, by angle:
two_theta	I (rel.)
27.0	32
28.7	37
29.4	27
31.8	72
31.9	58
32.5	100
34.9	38
51.3	27

Structural model:
```
data_Nd2Y4In
_chemical_formula_sum 'Nd4 Y8 In2'
_cell_length_a 6.595
_cell_length_b 6.325
_cell_length_c 10.729
_cell_angle_alpha 90.00
_cell_angle_beta 90.00
_cell_angle_gamma 90.00
_space_group_name_H-M_alt 'P m n a'
_space_group_IT_number 53
_space_group_name_Hall '-P 2ac 2'
loop_
_atom_site_label
_atom_site_fract_x
_atom_site_fract_y
_atom_site_fract_z
_atom_site_occupancy
Nd1 0.000 0.243 0.043 1
Y1 0.000 0.072 0.346 1
Y2 0.250 0.399 0.750 1
In1 0.000 0.500 0.500 1
```

No. 2
The following is a calculated powder diffraction line list of CeCoSbH. It was derived from a cell relaxed with PBE, using Cu Kα, 1.54184 Å.
No peak broadening, texture or thermal motion is included.

Most intense lines, 2θ from 10° to 90°, by angle:
two_theta	I (rel.)
32.3	100
41.9	46
43.6	10
50.3	9
53.9	23
62.1	21
70.5	20
73.0	9

Structural model:
```
data_CeCoSbH
_chemical_formula_sum 'Ce1 Co1 Sb1 H1'
_cell_length_a 4.3094
_cell_length_b 4.3094
_cell_length_c 4.1477
_cell_angle_alpha 90.00
_cell_angle_beta 90.00
_cell_angle_gamma 120.00
_space_group_name_H-M_alt 'P 3 m 1'
_space_group_IT_number 156
_space_group_name_Hall 'P 3 -2"'
loop_
_atom_site_label
_atom_site_fract_x
_atom_site_fract_y
_atom_site_fract_z
_atom_site_occupancy
Ce1 0.0000 0.0000 0.0000 1
Co1 0.6667 0.3333 0.6082 1
Sb1 0.3333 0.6667 0.4960 1
H1 0.6667 0.3333 0.9945 1
```

No. 3
The following is a calculated powder diffraction line list of U4Tc7Ge6. It was derived from a cell relaxed with PBE, using Cu Kα, 1.54184 Å.
No peak broadening, texture or thermal motion is included.

Most intense lines, 2θ from 10° to 90°, by angle:
two_theta	I (rel.)
21.3	16
30.3	45
37.4	100
43.4	60
48.8	14
63.1	35
71.6	14
75.6	31

Structural model:
```
data_U4Tc7Ge6
_chemical_formula_sum 'U8 Tc14 Ge12'
_cell_length_a 8.340
_cell_length_b 8.340
_cell_length_c 8.340
_cell_angle_alpha 90.00
_cell_angle_beta 90.00
_cell_angle_gamma 90.00
_space_group_name_H-M_alt 'I m -3 m'
_space_group_IT_number 229
_space_group_name_Hall '-I 4 2 3'
loop_
_atom_site_label
_atom_site_fract_x
_atom_site_fract_y
_atom_site_fract_z
_atom_site_occupancy
U1 0.250 0.250 0.250 1
Tc1 0.000 0.000 0.000 1
Tc2 0.000 0.250 0.500 1
Ge1 0.000 0.000 0.307 1
```